(1)
Computed powder X-ray diffraction pattern
Compound: Be3Co
Radiation: Cu Ka
Structure: a GGA-PBE-relaxed structure

Cell and atoms:
a = 4.5664 Å, b = 4.5664 Å, c = 4.5664 Å
α = 120.91°, β = 88.67°, γ = 120.63°
Fractional coordinates of all 8 atoms:
Be1 0.2568 0.0000 0.7568
Be2 0.2568 0.5000 0.2568
Be3 0.2682 0.0182 0.2500
Be4 0.7318 0.9818 0.7500
Be5 0.7432 0.0000 0.2432
Be6 0.7432 0.5000 0.7432
Co1 0.2189 0.4689 0.7500
Co2 0.7811 0.5311 0.2500

Principal peaks in the range 15 to 90 degrees two-theta, sorted by position:
d = 3.266 Å, 2θ 27.3, intensity 55; d = 3.191 Å, 2θ 28.0, intensity 100; d = 2.283 Å, 2θ 39.5, intensity 79; d = 2.261 Å, 2θ 39.9, intensity 17; d = 2.252 Å, 2θ 40.0, intensity 20; d = 1.859 Å, 2θ 49.0, intensity 37; d = 1.854 Å, 2θ 49.1, intensity 42; d = 1.596 Å, 2θ 57.8, intensity 22; d = 1.454 Å, 2θ 64.0, intensity 17; d = 1.141 Å, 2θ 85.0, intensity 14

---

(2)
Computed powder X-ray diffraction pattern
Compound: Na5Tl4In4
Radiation: Cu Ka
Structure: a GGA-PBE-relaxed structure

Cell and atoms:
a = 9.3445 Å, b = 9.3445 Å, c = 9.3445 Å
α = 93.70°, β = 93.70°, γ = 150.57°
Fractional coordinates of all 13 atoms:
Na1 0.0000 0.0000 0.0000
Na2 0.2892 0.3745 0.6637
Na3 0.3745 0.7108 0.0853
Na4 0.6255 0.2892 0.9147
Na5 0.7108 0.6255 0.3363
Tl1 0.0675 0.2350 0.3025
Tl2 0.2350 0.9325 0.1674
Tl3 0.7650 0.0675 0.8326
Tl4 0.9325 0.7650 0.6975
In1 0.1032 0.5803 0.6836
In2 0.4197 0.1032 0.5229
In3 0.5803 0.8968 0.4771
In4 0.8968 0.4197 0.3164

Principal peaks in the range 15 to 90 degrees two-theta, sorted by position:
d = 4.519 Å, 2θ 19.6, intensity 19; d = 4.450 Å, 2θ 20.0, intensity 27; d = 4.042 Å, 2θ 22.0, intensity 43; d = 3.652 Å, 2θ 24.4, intensity 15; d = 2.840 Å, 2θ 31.5, intensity 100; d = 2.596 Å, 2θ 34.6, intensity 30; d = 2.507 Å, 2θ 35.8, intensity 20; d = 2.374 Å, 2θ 37.9, intensity 20; d = 2.251 Å, 2θ 40.1, intensity 22; d = 2.130 Å, 2θ 42.4, intensity 17